Theoretical powder diffractogram
Compound: YGa2Ni
Radiation: a wavelength of 1.5418 Å
Structure: a GGA-PBE-relaxed structure
Neutral-atom scattering factors, no anomalous dispersion.

Cell and atoms:
a = 4.134 Å, b = 10.144 Å, c = 6.662 Å
α = 90.00°, β = 90.00°, γ = 90.00°
Space group Cmcm (No. 63)
Asymmetric unit:
1 Y 0.000 0.072 0.250 x4
2 Ga 0.000 0.355 0.054 x8
3 Ni 0.000 0.210 0.750 x4

Top 10 peaks for 10° ≤ 2θ ≤ 80°, low angle first:
Position (°2θ), intensity, hkl
34.26, 24, 1 3 0
35.73, 100, 1 1 2
36.90, 78, 1 3 1
37.96, 41, 0 4 1
43.79, 45, 2 0 0
44.00, 33, 1 3 2
44.54, 24, 0 2 3
47.32, 23, 1 1 3
59.32, 21, 2 4 1
68.62, 22, 1 7 0